Structure and calculated X-ray powder pattern of LiCoPO4 (a PBE+U-relaxed structure; copper Kα).
Neutral-atom scattering factors, no anomalous dispersion.

Most intense lines, 10° ≤ 2θ ≤ 80°, most intense first:
hkl, two_theta, I/Imax
2 -1 2, 29.9, 100
0 0 2, 18.3, 96
1 1 0, 23.5, 74
3 -1 2, 40.9, 66
2 0 1, 28.7, 58
1 0 0, 13.5, 45
2 0 2, 33.0, 41
3 1 1, 51.1, 31

Atomic structure:
```
42
Lattice="7.575 0.000 0.000 -3.787 6.560 0.000 0.000 0.000 9.704" Properties=species:S:1:pos:R:3 pbc="T T T"
Li -1.798 3.893 0.000
Li 1.315 3.056 0.000
Li 1.989 2.667 4.852
Li 0.484 6.171 0.000
Li 4.271 0.389 4.852
Li 5.102 3.504 4.852
Co -0.644 1.835 7.551
Co -1.876 6.200 7.551
Co 1.911 0.360 2.699
Co 2.520 5.085 7.551
Co 3.143 4.725 2.699
Co 6.308 1.475 2.699
P 0.000 0.000 0.137
P 0.000 0.000 4.989
P 0.000 4.373 2.705
P 0.000 4.373 6.702
P 3.787 2.187 1.850
P 3.787 2.187 7.558
O 0.000 0.000 1.742
O 0.000 0.000 6.594
O -2.593 5.713 9.343
O -0.993 3.306 3.267
O 0.136 1.457 9.343
O -1.382 4.878 6.184
O 1.194 0.847 4.490
O 0.254 2.924 6.184
O 0.000 4.373 1.165
O 0.000 4.373 8.253
O -0.428 5.767 3.267
O 2.405 1.682 1.332
O 1.421 4.047 3.267
O 3.359 0.793 8.119
O 1.128 5.318 6.184
O 2.794 3.255 8.119
O 3.787 2.187 3.401
O 3.787 2.187 6.017
O 4.916 1.242 1.332
O 2.457 5.949 9.343
O 4.042 3.636 1.332
O 6.245 0.611 4.490
O 5.209 2.513 8.119
O 3.924 5.103 4.490
```